Structure and theoretical X-ray powder pattern of TaGa2P (the PBE geometry in Alexandria; Cu Kα (λ = 1.5418 Å)).
Neutral-atom scattering factors, no anomalous dispersion.

Crystal structure
Lattice parameters (Å, degrees): 7.347 7.347 5.078 90.00 90.00 90.00
Space group I-42d (No. 122)
Asymmetric unit:
1 Ta 0.000 0.000 0.000
2 Ga 0.225 0.250 0.625
3 P 0.000 0.000 0.500

Peak list (6 most intense, 2θ = 15–90°, by angle)
2θ/deg, I_rel
21.27, 46
32.46, 54
34.53, 100
39.51, 73
49.63, 34
53.46, 59